# 1
The following is a simulated powder diffractogram of NdPuI5. It was derived from a structure optimized by DFT (PBE), using Cu Kα, 1.54184 Å.

Cell and atoms:
abc: 9.3495 4.3337 15.0690
angles: 90.00 94.72 90.00
Space group P2_1/m (No. 11)
One atom of each set of equivalent atoms:
Nd  0.0828  0.2500  0.1565
Pu  0.4062  0.7500  0.3598
I  0.1373  0.2500  0.7900
I  0.1498  0.2500  0.3699
I  0.1815  0.7500  0.0169
I  0.3548  0.7500  0.5707
I  0.4262  0.2500  0.1966

Peak list (6 most intense, 2θ from 10° to 90°, sorted by position)
2theta, I/Imax
10.75, 100
25.95, 44
28.12, 34
28.40, 53
29.91, 39
41.69, 32


# 2
The following is a simulated powder diffractogram of RbSrNdI6. It was derived from a structure optimized by DFT (PBE), using Cu Kα, 1.54184 Å.

Cell and atoms:
abc: 8.3648 8.3648 15.8401
angles: 90.00 90.00 120.00
Space group P-31c (No. 163)
One atom of each set of equivalent atoms:
Rb  0.0000  0.0000  0.0000
Sr  0.3333  0.6667  0.2500
Nd  0.3333  0.6667  0.7500
I  0.0145  0.3783  0.6338

Peak list (6 most intense, 2θ from 10° to 90°, sorted by position)
2theta, I/Imax
16.58, 29
24.06, 100
31.10, 63
37.24, 37
40.40, 27
60.45, 20


# 3
The following is a simulated powder diffractogram of Nd8SiRh3I4. It was derived from a structure optimized by DFT (PBE), using Cu Kα, 1.54184 Å.

Cell and atoms:
abc: 14.7251 8.5019 9.4135
angles: 90.00 121.42 90.00
Space group C2/m (No. 12)
One atom of each set of equivalent atoms:
Nd  0.0238  0.2417  0.3143
Nd  0.2307  0.0000  0.6901
Nd  0.2339  0.5000  0.6857
Si  0.0000  0.5000  0.5000
Rh  0.0000  0.0000  0.5000
Rh  0.2500  0.2500  0.5000
I  0.0000  0.0000  0.0000
I  0.0000  0.5000  0.0000
I  0.2500  0.2500  0.0000

Peak list (6 most intense, 2θ from 10° to 90°, sorted by position)
2theta, I/Imax
28.41, 100
30.56, 18
38.62, 26
42.53, 39
51.94, 18
69.31, 15


# 4
The following is a simulated powder diffractogram of Nd3SI7. It was derived from a structure optimized by DFT (PBE), using Cu Kα, 1.54184 Å.

Cell and atoms:
abc: 8.9475 8.9475 7.6843
angles: 90.00 90.00 120.00
Space group P3m1 (No. 156)
One atom of each set of equivalent atoms:
Nd  0.0184  0.5092  0.0000
S  0.3333  0.6667  0.1597
I  0.1670  0.3341  0.7542
I  0.3393  0.1696  0.2243
I  0.6667  0.3333  0.7564

Peak list (6 most intense, 2θ from 10° to 90°, sorted by position)
2theta, I/Imax
11.50, 46
25.75, 100
32.83, 55
40.32, 35
42.30, 29
48.47, 19


# 5
The following is a simulated powder diffractogram of NdS14I. It was derived from a structure optimized by DFT (PBE), using Cu Kα, 1.54184 Å.

Cell and atoms:
abc: 19.9214 15.1673 8.2005
angles: 90.00 113.45 90.00
Space group C2/c (No. 15)
One atom of each set of equivalent atoms:
Nd  0.0000  0.0000  0.0000
S  0.0541  0.1610  0.2430
S  0.0756  0.1769  0.6590
S  0.1009  0.0720  0.8398
S  0.1169  0.4301  0.3057
S  0.1224  0.1024  0.4767
S  0.1825  0.4335  0.5746
S  0.1865  0.4398  0.1738
I  0.0000  0.3147  0.7500

Peak list (6 most intense, 2θ from 10° to 90°, sorted by position)
2theta, I/Imax
11.67, 69
15.68, 100
21.73, 48
22.87, 91
26.34, 62
26.68, 53


# 6
The following is a simulated powder diffractogram of NdSI. It was derived from a structure optimized by DFT (PBE), using Cu Kα, 1.54184 Å.

Cell and atoms:
abc: 7.1021 14.4259 7.3030
angles: 90.00 90.00 90.00
Space group Pbca (No. 61)
One atom of each set of equivalent atoms:
Nd  0.2424  0.0830  0.0295
S  0.0013  0.0231  0.7417
I  0.1671  0.7028  0.3992

Peak list (6 most intense, 2θ from 10° to 90°, sorted by position)
2theta, I/Imax
21.36, 31
24.38, 20
25.08, 29
30.18, 31
30.37, 100
35.26, 28


# 7
The following is a simulated powder diffractogram of Nd2SeI. It was derived from a structure optimized by DFT (PBE), using Cu Kα, 1.54184 Å.

Cell and atoms:
abc: 4.3725 4.3725 22.2737
angles: 90.00 90.00 120.00
Space group R-3m (No. 166, hexagonal axes)
One atom of each set of equivalent atoms:
Nd  0.0000  0.0000  0.2298
Se  0.0000  0.0000  0.5000
I  0.0000  0.0000  0.0000

Peak list (6 most intense, 2θ from 10° to 90°, sorted by position)
2theta, I/Imax
28.51, 100
31.00, 18
40.20, 24
41.30, 43
50.94, 20
67.58, 17


# 8
The following is a simulated powder diffractogram of NdSmI5. It was derived from a structure optimized by DFT (PBE), using Cu Kα, 1.54184 Å.

Cell and atoms:
abc: 9.4423 4.2990 14.9763
angles: 90.00 95.54 90.00
Space group P2_1/m (No. 11)
One atom of each set of equivalent atoms:
Nd  0.1064  0.2500  0.1497
Sm  0.4136  0.7500  0.3426
I  0.0715  0.7500  0.3065
I  0.1323  0.2500  0.9287
I  0.3228  0.2500  0.4825
I  0.3514  0.7500  0.1272
I  0.3695  0.7500  0.7101

Peak list (6 most intense, 2θ from 10° to 90°, sorted by position)
2theta, I/Imax
10.63, 100
26.16, 39
27.37, 36
28.13, 36
28.43, 57
42.03, 27


# 9
The following is a simulated powder diffractogram of Nd2SnI. It was derived from a structure optimized by DFT (PBE), using Cu Kα, 1.54184 Å.

Cell and atoms:
abc: 9.1795 18.1109 7.9192
angles: 90.00 124.79 90.00
Space group C2/c (No. 15)
One atom of each set of equivalent atoms:
Nd  0.2097  0.0627  0.2270
Nd  0.2365  0.1883  0.7262
Sn  0.0000  0.0681  0.7500
Sn  0.0000  0.1935  0.2500
I  0.0000  0.3181  0.7500
I  0.0000  0.4421  0.2500

Peak list (6 most intense, 2θ from 10° to 90°, sorted by position)
2theta, I/Imax
27.43, 51
27.68, 100
39.22, 54
39.52, 39
39.82, 19
49.03, 20


# 10
The following is a simulated powder diffractogram of SrNdI5. It was derived from a structure optimized by DFT (PBE), using Cu Kα, 1.54184 Å.

Cell and atoms:
abc: 9.5087 4.6043 15.1628
angles: 90.00 94.22 90.00
Space group P2_1/m (No. 11)
One atom of each set of equivalent atoms:
Sr  0.0877  0.2500  0.1405
Nd  0.4149  0.7500  0.3483
I  0.0819  0.7500  0.3175
I  0.1463  0.2500  0.9254
I  0.3243  0.2500  0.4845
I  0.3540  0.7500  0.1384
I  0.3817  0.7500  0.7040

Peak list (6 most intense, 2θ from 10° to 90°, sorted by position)
2theta, I/Imax
10.64, 100
24.84, 66
26.74, 38
26.99, 37
27.39, 60
39.13, 39


# 11
The following is a simulated powder diffractogram of Tb2NdI6. It was derived from a structure optimized by DFT (PBE), using Cu Kα, 1.54184 Å.

Cell and atoms:
abc: 17.2929 4.1860 11.5429
angles: 90.00 116.90 90.00
Space group C2/m (No. 12)
One atom of each set of equivalent atoms:
Tb  0.1500  0.0000  0.3052
Nd  0.0000  0.5000  0.0000
I  0.0154  0.5000  0.2900
I  0.1516  0.0000  0.0450
I  0.1997  0.0000  0.6088

Peak list (6 most intense, 2θ from 10° to 90°, sorted by position)
2theta, I/Imax
10.78, 82
25.97, 34
27.48, 100
31.27, 29
33.91, 28
40.25, 37


# 12
The following is a simulated powder diffractogram of TbNdI5. It was derived from a structure optimized by DFT (PBE), using Cu Kα, 1.54184 Å.

Cell and atoms:
abc: 9.4421 4.1857 15.5052
angles: 90.00 90.37 90.00
Space group P2_1/m (No. 11)
One atom of each set of equivalent atoms:
Tb  0.1372  0.2500  0.1757
Nd  0.4118  0.7500  0.3573
I  0.0947  0.2500  0.7888
I  0.1584  0.2500  0.3780
I  0.2090  0.7500  0.0374
I  0.3551  0.7500  0.5699
I  0.4662  0.2500  0.2038

Peak list (6 most intense, 2θ from 10° to 90°, sorted by position)
2theta, I/Imax
10.94, 100
25.99, 58
28.50, 50
28.79, 33
28.99, 37
31.46, 29